1.
Starting from the GGA-PBE geometry in Alexandria, the powder diffraction line list of Ba2Sc2B4O11 was simulated for Cu Kα X-rays.
No peak broadening, texture or thermal motion is included.

```
data_Ba2Sc2B4O11
_chemical_formula_sum 'Ba4 Sc4 B8 O22'
_symmetry_space_group_name_H-M 'P 1'
_symmetry_Int_Tables_number 1
_symmetry_space_group_name_Hall 'P 1'
_cell_length_a 9.375
_cell_length_b 9.375
_cell_length_c 6.421
_cell_angle_alpha 98.61
_cell_angle_beta 98.61
_cell_angle_gamma 60.69
loop_
_atom_site_label
_atom_site_type_symbol
_atom_site_fract_x
_atom_site_fract_y
_atom_site_fract_z
_atom_site_occupancy
Ba1 Ba 0.028 0.697 0.575 1
Ba2 Ba 0.303 0.972 0.925 1
Ba3 Ba 0.697 0.028 0.075 1
Ba4 Ba 0.972 0.303 0.425 1
Sc1 Sc 0.000 0.500 0.000 1
Sc2 Sc 0.500 0.000 0.500 1
Sc3 Sc 0.500 0.500 0.000 1
Sc4 Sc 0.500 0.500 0.500 1
B1 B 0.121 0.778 0.088 1
B2 B 0.222 0.879 0.412 1
B3 B 0.329 0.331 0.745 1
B4 B 0.331 0.329 0.245 1
B5 B 0.669 0.671 0.755 1
B6 B 0.671 0.669 0.255 1
B7 B 0.778 0.121 0.588 1
B8 B 0.879 0.222 0.912 1
O1 O 0.001 0.263 0.980 1
O2 O 0.087 0.913 0.250 1
O3 O 0.163 0.404 0.763 1
O4 O 0.166 0.429 0.265 1
O5 O 0.263 0.001 0.480 1
O6 O 0.267 0.714 0.002 1
O7 O 0.286 0.733 0.498 1
O8 O 0.398 0.427 0.706 1
O9 O 0.404 0.163 0.263 1
O10 O 0.427 0.398 0.206 1
O11 O 0.429 0.166 0.765 1
O12 O 0.571 0.834 0.235 1
O13 O 0.573 0.602 0.794 1
O14 O 0.596 0.837 0.737 1
O15 O 0.602 0.573 0.294 1
O16 O 0.714 0.267 0.502 1
O17 O 0.733 0.286 0.998 1
O18 O 0.737 0.999 0.520 1
O19 O 0.834 0.571 0.735 1
O20 O 0.837 0.596 0.237 1
O21 O 0.913 0.087 0.750 1
O22 O 0.999 0.737 0.020 1
```

The 10 most intense peaks (2θ = 10–90°), most intense first:
30.6 deg, intensity 1000; 28.8 deg, intensity 953; 25.5 deg, intensity 866; 17.0 deg, intensity 796; 31.8 deg, intensity 645; 27.1 deg, intensity 641; 41.5 deg, intensity 534; 19.2 deg, intensity 436; 32.2 deg, intensity 432; 49.4 deg, intensity 421

---

2.
Starting from the GGA-PBE geometry in Alexandria, the powder diffraction line list of BaSi2B2O8 was simulated for Cu Kα X-rays.
No peak broadening, texture or thermal motion is included.

```
data_BaSi2B2O8
_chemical_formula_sum 'Ba4 Si8 B8 O32'
_symmetry_space_group_name_H-M 'P 1'
_symmetry_Int_Tables_number 1
_symmetry_space_group_name_Hall 'P 1'
_cell_length_a 8.360
_cell_length_b 8.256
_cell_length_c 9.181
_cell_angle_alpha 90.00
_cell_angle_beta 90.00
_cell_angle_gamma 90.00
loop_
_atom_site_label
_atom_site_type_symbol
_atom_site_fract_x
_atom_site_fract_y
_atom_site_fract_z
_atom_site_occupancy
Ba1 Ba 0.106 0.250 0.080 1
Ba2 Ba 0.394 0.750 0.580 1
Ba3 Ba 0.606 0.250 0.420 1
Ba4 Ba 0.894 0.750 0.920 1
Si1 Si 0.075 0.065 0.689 1
Si2 Si 0.075 0.435 0.689 1
Si3 Si 0.425 0.565 0.189 1
Si4 Si 0.425 0.935 0.189 1
Si5 Si 0.575 0.065 0.811 1
Si6 Si 0.575 0.435 0.811 1
Si7 Si 0.925 0.565 0.311 1
Si8 Si 0.925 0.935 0.311 1
B1 B 0.225 0.085 0.409 1
B2 B 0.225 0.415 0.409 1
B3 B 0.275 0.585 0.909 1
B4 B 0.275 0.915 0.909 1
B5 B 0.725 0.085 0.091 1
B6 B 0.725 0.415 0.091 1
B7 B 0.775 0.585 0.591 1
B8 B 0.775 0.915 0.591 1
O1 O 0.004 0.250 0.689 1
O2 O 0.071 0.064 0.332 1
O3 O 0.071 0.436 0.332 1
O4 O 0.149 0.029 0.851 1
O5 O 0.149 0.471 0.851 1
O6 O 0.213 0.040 0.565 1
O7 O 0.213 0.460 0.565 1
O8 O 0.216 0.750 0.883 1
O9 O 0.284 0.250 0.383 1
O10 O 0.287 0.540 0.065 1
O11 O 0.287 0.960 0.065 1
O12 O 0.351 0.529 0.351 1
O13 O 0.351 0.971 0.351 1
O14 O 0.429 0.564 0.832 1
O15 O 0.429 0.936 0.832 1
O16 O 0.496 0.750 0.189 1
O17 O 0.504 0.250 0.811 1
O18 O 0.571 0.064 0.168 1
O19 O 0.571 0.436 0.168 1
O20 O 0.649 0.029 0.649 1
O21 O 0.649 0.471 0.649 1
O22 O 0.713 0.040 0.935 1
O23 O 0.713 0.460 0.935 1
O24 O 0.716 0.750 0.617 1
O25 O 0.784 0.250 0.117 1
O26 O 0.787 0.540 0.435 1
O27 O 0.787 0.960 0.435 1
O28 O 0.851 0.529 0.149 1
O29 O 0.851 0.971 0.149 1
O30 O 0.929 0.564 0.668 1
O31 O 0.929 0.936 0.668 1
O32 O 0.996 0.750 0.311 1
```

The 10 most intense peaks (2θ = 10–90°), most intense first:
23.9 deg, intensity 1000; 24.6 deg, intensity 737; 26.0 deg, intensity 698; 31.2 deg, intensity 476; 43.9 deg, intensity 381; 35.4 deg, intensity 340; 32.0 deg, intensity 335; 14.3 deg, intensity 314; 35.7 deg, intensity 262; 42.7 deg, intensity 258

---

3.
Starting from the GGA-PBE geometry in Alexandria, the powder diffraction line list of Ba2SnB2O6 was simulated for Cu Kα X-rays.
No peak broadening, texture or thermal motion is included.

```
data_Ba2SnB2O6
_chemical_formula_sum 'Ba2 Sn1 B2 O6'
_symmetry_space_group_name_H-M 'P 1'
_symmetry_Int_Tables_number 1
_symmetry_space_group_name_Hall 'P 1'
_cell_length_a 7.121
_cell_length_b 7.121
_cell_length_c 7.121
_cell_angle_alpha 45.90
_cell_angle_beta 45.90
_cell_angle_gamma 45.90
loop_
_atom_site_label
_atom_site_type_symbol
_atom_site_fract_x
_atom_site_fract_y
_atom_site_fract_z
_atom_site_occupancy
Ba1 Ba 0.214 0.214 0.214 1
Ba2 Ba 0.786 0.786 0.786 1
Sn1 Sn 0.000 0.000 0.000 1
B1 B 0.423 0.423 0.423 1
B2 B 0.577 0.577 0.577 1
O1 O 0.278 0.278 0.714 1
O2 O 0.278 0.714 0.278 1
O3 O 0.286 0.722 0.722 1
O4 O 0.714 0.278 0.278 1
O5 O 0.722 0.286 0.722 1
O6 O 0.722 0.722 0.286 1
```

The 10 most intense peaks (2θ = 10–90°), most intense first:
29.9 deg, intensity 1000; 32.2 deg, intensity 768; 26.3 deg, intensity 546; 19.0 deg, intensity 404; 42.1 deg, intensity 350; 44.5 deg, intensity 344; 54.5 deg, intensity 305; 56.0 deg, intensity 265; 54.0 deg, intensity 157; 51.5 deg, intensity 149

---

4.
Starting from the GGA-PBE geometry in Alexandria, the powder diffraction line list of BaTcBO6 was simulated for Cu Kα X-rays.
No peak broadening, texture or thermal motion is included.

```
data_BaTcBO6
_chemical_formula_sum 'Ba1 Tc1 B1 O6'
_symmetry_space_group_name_H-M 'P 1'
_symmetry_Int_Tables_number 1
_symmetry_space_group_name_Hall 'P 1'
_cell_length_a 5.164
_cell_length_b 5.165
_cell_length_c 5.730
_cell_angle_alpha 89.97
_cell_angle_beta 89.99
_cell_angle_gamma 60.01
loop_
_atom_site_label
_atom_site_type_symbol
_atom_site_fract_x
_atom_site_fract_y
_atom_site_fract_z
_atom_site_occupancy
Ba1 Ba 0.000 0.000 0.000 1
Tc1 Tc 0.334 0.333 0.463 1
B1 B 0.667 0.666 0.225 1
O1 O 0.069 0.655 0.604 1
O2 O 0.277 0.067 0.603 1
O3 O 0.477 0.548 0.207 1
O4 O 0.548 0.975 0.207 1
O5 O 0.657 0.275 0.603 1
O6 O 0.975 0.477 0.208 1
```

The 10 most intense peaks (2θ = 10–90°), most intense first:
25.3 deg, intensity 1000; 43.4 deg, intensity 265; 47.4 deg, intensity 245; 19.8 deg, intensity 241; 34.7 deg, intensity 222; 56.8 deg, intensity 200; 37.3 deg, intensity 184; 52.1 deg, intensity 135; 75.0 deg, intensity 93; 31.2 deg, intensity 83

---

5.
Starting from the GGA-PBE geometry in Alexandria, the powder diffraction line list of BaTc2BO8 was simulated for Cu Kα X-rays.
No peak broadening, texture or thermal motion is included.

```
data_BaTc2BO8
_chemical_formula_sum 'Ba1 Tc2 B1 O8'
_symmetry_space_group_name_H-M 'P 1'
_symmetry_Int_Tables_number 1
_symmetry_space_group_name_Hall 'P 1'
_cell_length_a 6.073
_cell_length_b 6.073
_cell_length_c 7.100
_cell_angle_alpha 112.71
_cell_angle_beta 112.71
_cell_angle_gamma 46.89
loop_
_atom_site_label
_atom_site_type_symbol
_atom_site_fract_x
_atom_site_fract_y
_atom_site_fract_z
_atom_site_occupancy
Ba1 Ba 0.000 0.000 0.000 1
Tc1 Tc 0.192 0.192 0.646 1
Tc2 Tc 0.808 0.808 0.354 1
B1 B 0.500 0.500 0.500 1
O1 O 0.196 0.196 0.396 1
O2 O 0.198 0.644 0.336 1
O3 O 0.346 0.346 0.867 1
O4 O 0.356 0.802 0.664 1
O5 O 0.644 0.198 0.336 1
O6 O 0.654 0.654 0.133 1
O7 O 0.802 0.356 0.664 1
O8 O 0.804 0.804 0.604 1
```

The 10 most intense peaks (2θ = 10–90°), most intense first:
26.6 deg, intensity 1000; 30.5 deg, intensity 884; 25.8 deg, intensity 638; 20.4 deg, intensity 563; 31.4 deg, intensity 336; 37.2 deg, intensity 233; 48.8 deg, intensity 222; 50.9 deg, intensity 220; 45.8 deg, intensity 182; 42.1 deg, intensity 179

---

6.
Starting from the GGA-PBE geometry in Alexandria, the powder diffraction line list of BaB2TeO8 was simulated for Cu Kα X-rays.
No peak broadening, texture or thermal motion is included.

```
data_BaB2TeO8
_chemical_formula_sum 'Ba1 B2 Te1 O8'
_symmetry_space_group_name_H-M 'P 1'
_symmetry_Int_Tables_number 1
_symmetry_space_group_name_Hall 'P 1'
_cell_length_a 4.673
_cell_length_b 4.673
_cell_length_c 7.844
_cell_angle_alpha 93.04
_cell_angle_beta 93.04
_cell_angle_gamma 65.82
loop_
_atom_site_label
_atom_site_type_symbol
_atom_site_fract_x
_atom_site_fract_y
_atom_site_fract_z
_atom_site_occupancy
Ba1 Ba 0.000 0.000 0.000 1
B1 B 0.370 0.370 0.692 1
B2 B 0.630 0.630 0.308 1
Te1 Te 0.000 0.000 0.500 1
O1 O 0.240 0.721 0.683 1
O2 O 0.245 0.245 0.544 1
O3 O 0.279 0.760 0.317 1
O4 O 0.314 0.314 0.861 1
O5 O 0.686 0.686 0.139 1
O6 O 0.721 0.240 0.683 1
O7 O 0.755 0.755 0.456 1
O8 O 0.760 0.279 0.317 1
```

The 10 most intense peaks (2θ = 10–90°), most intense first:
20.8 deg, intensity 1000; 22.7 deg, intensity 944; 30.5 deg, intensity 544; 31.6 deg, intensity 529; 42.4 deg, intensity 353; 38.8 deg, intensity 337; 35.3 deg, intensity 191; 46.4 deg, intensity 190; 47.9 deg, intensity 190; 44.2 deg, intensity 162

---

7.
Starting from the GGA-PBE geometry in Alexandria, the powder diffraction line list of Ba3TiB2O8 was simulated for Cu Kα X-rays.
No peak broadening, texture or thermal motion is included.

```
data_Ba3TiB2O8
_chemical_formula_sum 'Ba3 Ti1 B2 O8'
_symmetry_space_group_name_H-M 'P 1'
_symmetry_Int_Tables_number 1
_symmetry_space_group_name_Hall 'P 1'
_cell_length_a 5.370
_cell_length_b 5.370
_cell_length_c 7.283
_cell_angle_alpha 90.00
_cell_angle_beta 90.00
_cell_angle_gamma 120.00
loop_
_atom_site_label
_atom_site_type_symbol
_atom_site_fract_x
_atom_site_fract_y
_atom_site_fract_z
_atom_site_occupancy
Ba1 Ba 0.000 0.000 0.000 1
Ba2 Ba 0.333 0.667 0.712 1
Ba3 Ba 0.667 0.333 0.288 1
Ti1 Ti 0.000 0.000 0.500 1
B1 B 0.333 0.667 0.266 1
B2 B 0.667 0.333 0.734 1
O1 O 0.177 0.355 0.343 1
O2 O 0.177 0.823 0.343 1
O3 O 0.333 0.667 0.073 1
O4 O 0.355 0.177 0.657 1
O5 O 0.645 0.823 0.343 1
O6 O 0.667 0.333 0.927 1
O7 O 0.823 0.177 0.657 1
O8 O 0.823 0.645 0.657 1
```

The 10 most intense peaks (2θ = 10–90°), most intense first:
31.2 deg, intensity 1000; 33.4 deg, intensity 949; 22.7 deg, intensity 822; 46.3 deg, intensity 471; 40.7 deg, intensity 442; 58.3 deg, intensity 322; 53.6 deg, intensity 194; 61.5 deg, intensity 188; 42.0 deg, intensity 176; 59.6 deg, intensity 169